No. 1
# Tb9Pm2Tm3
Simulated X-ray diffraction stick pattern, Cu Ka. Input: a GGA-PBE-relaxed structure.
No peak broadening, texture or thermal motion is included.

Structural model:
Cell: 6.1983 8.7485 8.7717 Å, 79.21 87.46 77.53°
Space group P-1 (No. 2)
Inequivalent atoms, fractional coordinates:
Tb 0.0000 0.0000 0.0000 [1 per cell]
Tb 0.0866 0.1960 0.3128 [2 per cell]
Tb 0.1883 0.3978 0.6169 [2 per cell]
Tb 0.3478 0.9940 0.6646 [2 per cell]
Tb 0.4885 0.4194 0.2500 [2 per cell]
Pm 0.4562 0.2038 0.9698 [2 per cell]
Tm 0.0000 0.5000 0.0000 [1 per cell]
Tm 0.2533 0.7764 0.3806 [2 per cell]

Largest 8 diffraction maxima, low angle first, 5 to 70 degrees two-theta:
h k l	Position (°2θ)	I/Imax
0 0 3	31.1	58
2 0 -1	31.4	49
1 -2 1	31.5	100
2 1 -1	31.7	49
1 3 1	32.0	76
-1 2 2	32.9	67
1 2 -2	33.7	46
2 1 2	34.7	59



No. 2
# TbPm4Tm4
Simulated X-ray diffraction stick pattern, Cu Ka. Input: a GGA-PBE-relaxed structure.
No peak broadening, texture or thermal motion is included.

Structural model:
Cell: 16.8939 5.5825 6.7562 Å, 90.00 113.53 90.00°
Space group C2/m (No. 12)
Inequivalent atoms, fractional coordinates:
Tb 0.0000 0.0000 0.0000 [2 per cell]
Pm 0.1341 0.5000 0.3083 [4 per cell]
Pm 0.2204 0.0000 0.1545 [4 per cell]
Tm 0.0707 0.5000 0.7665 [4 per cell]
Tm 0.1222 0.0000 0.5742 [4 per cell]

Largest 8 diffraction maxima, low angle first, 5 to 70 degrees two-theta:
h k l	Position (°2θ)	I/Imax
5 1 -1	31.1	92
1 1 -2	31.5	100
4 0 1	31.8	40
0 2 0	32.1	52
4 2 1	45.8	29
5 3 -1	56.5	17
1 3 -2	56.8	19
2 2 -4	65.7	17



No. 3
# TbPm4Tm2
Simulated X-ray diffraction stick pattern, Cu Ka. Input: a GGA-PBE-relaxed structure.
No peak broadening, texture or thermal motion is included.

Structural model:
Cell: 11.9184 24.1545 6.4325 Å, 90.00 90.00 90.00°
Space group Fdd2 (No. 43)
Inequivalent atoms, fractional coordinates:
Tb 0.0000 0.0000 0.0000 [8 per cell]
Pm 0.0524 0.0705 0.5071 [16 per cell]
Pm 0.0692 0.1436 0.0372 [16 per cell]
Tm 0.0254 0.2160 0.5626 [16 per cell]

Largest 8 diffraction maxima, low angle first, 5 to 70 degrees two-theta:
h k l	Position (°2θ)	I/Imax
1 7 1	30.3	100
4 2 0	30.9	31
2 0 2	31.6	63
3 5 1	32.3	34
2 2 2	32.5	25
3 7 1	37.2	26
1 7 3	50.7	20
2 14 0	55.4	16



No. 4
# Tb7Pm3Tm
Simulated X-ray diffraction stick pattern, Cu Ka. Input: a GGA-PBE-relaxed structure.
No peak broadening, texture or thermal motion is included.

Structural model:
Cell: 7.0844 7.0844 8.6720 Å, 90.00 90.00 120.00°
Space group P3m1 (No. 156)
Inequivalent atoms, fractional coordinates:
Tb 0.0000 0.0000 0.0000 [1 per cell]
Tb 0.0019 0.5010 0.0024 [3 per cell]
Tb 0.3315 0.1658 0.6749 [3 per cell]
Pm 0.1668 0.3336 0.3395 [3 per cell]
Tm 0.3333 0.6667 0.6782 [1 per cell]

Largest 8 diffraction maxima, low angle first, 5 to 70 degrees two-theta:
h k l	Position (°2θ)	I/Imax
0 0 1	10.2	5
1 0 0	14.4	4
0 1 1	17.7	4
0 2 1	30.9	100
2 0 2	35.9	51
2 2 0	51.6	36
4 0 1	61.4	43
0 4 2	64.4	12



No. 5
# Tb9Pm11Tm4
Simulated X-ray diffraction stick pattern, Cu Ka. Input: a GGA-PBE-relaxed structure.
No peak broadening, texture or thermal motion is included.

Structural model:
Cell: 16.9442 25.7315 3.6443 Å, 90.00 90.00 90.00°
Space group Cmmm (No. 65)
Inequivalent atoms, fractional coordinates:
Tb 0.0000 0.0000 0.0000 [2 per cell]
Tb 0.1024 0.2319 0.0000 [8 per cell]
Tb 0.1411 0.4269 0.0000 [8 per cell]
Pm 0.0000 0.1310 0.5000 [4 per cell]
Pm 0.0000 0.3389 0.5000 [4 per cell]
Pm 0.0000 0.5000 0.5000 [2 per cell]
Pm 0.2073 0.0000 0.5000 [4 per cell]
Pm 0.2241 0.3190 0.5000 [8 per cell]
Tm 0.1574 0.1018 0.0000 [8 per cell]

Largest 8 diffraction maxima, low angle first, 5 to 70 degrees two-theta:
h k l	Position (°2θ)	I/Imax
4 6 0	29.6	98
2 4 1	30.1	30
3 3 1	31.0	31
1 9 0	31.7	27
0 6 1	32.2	83
4 0 1	32.4	100
4 6 2	59.3	28
7 13 0	60.5	25



No. 6
# TbPm7Tm3
Simulated X-ray diffraction stick pattern, Cu Ka. Input: a GGA-PBE-relaxed structure.
No peak broadening, texture or thermal motion is included.

Structural model:
Cell: 19.0870 7.1780 12.4870 Å, 90.00 116.02 90.00°
Space group C2/c (No. 15)
Inequivalent atoms, fractional coordinates:
Tb 0.0000 0.0000 0.0000 [4 per cell]
Pm 0.0000 0.2251 0.2500 [4 per cell]
Pm 0.1600 0.4942 0.7743 [8 per cell]
Pm 0.1676 0.2477 0.0280 [8 per cell]
Pm 0.1680 0.2484 0.5294 [8 per cell]
Tm 0.0000 0.5000 0.0000 [4 per cell]
Tm 0.1698 0.0027 0.2755 [8 per cell]

Largest 8 diffraction maxima, low angle first, 5 to 70 degrees two-theta:
h k l	Position (°2θ)	I/Imax
2 2 -2	28.9	31
0 2 2	29.5	19
6 0 0	31.3	51
0 0 4	31.9	100
6 0 -4	33.5	30
2 2 2	33.7	57
4 2 -6	50.7	26
2 2 6	60.9	30



No. 7
# Tb3Pm2Tm6
Simulated X-ray diffraction stick pattern, Cu Ka. Input: a GGA-PBE-relaxed structure.
No peak broadening, texture or thermal motion is included.

Structural model:
Cell: 6.0672 10.5258 11.5883 Å, 90.00 100.14 90.00°
Space group C2/m (No. 12)
Inequivalent atoms, fractional coordinates:
Tb 0.0000 0.0000 0.0000 [2 per cell]
Tb 0.0000 0.3354 0.0000 [4 per cell]
Pm 0.0000 0.1665 0.5000 [4 per cell]
Tm 0.2495 0.5000 0.2481 [4 per cell]
Tm 0.2495 0.1667 0.2481 [8 per cell]

Largest 8 diffraction maxima, low angle first, 5 to 70 degrees two-theta:
h k l	Position (°2θ)	I/Imax
1 3 1	31.3	100
0 0 4	31.4	33
2 0 2	36.3	67
0 6 0	52.2	24
1 3 5	52.3	24
0 6 4	62.1	28
4 0 0	62.2	23
2 6 2	65.2	12



No. 8
# Tb4Pm3Tm2
Simulated X-ray diffraction stick pattern, Cu Ka. Input: a GGA-PBE-relaxed structure.
No peak broadening, texture or thermal motion is included.

Structural model:
Cell: 6.1800 6.1875 9.4466 Å, 108.93 90.11 119.90°
Space group P-1 (No. 2)
Inequivalent atoms, fractional coordinates:
Tb 0.1653 0.3317 0.9999 [2 per cell]
Tb 0.2768 0.8872 0.3335 [2 per cell]
Pm 0.3881 0.4440 0.6659 [2 per cell]
Pm 0.5000 0.0000 0.0000 [1 per cell]
Tm 0.0550 0.7770 0.6658 [2 per cell]

Largest 8 diffraction maxima, low angle first, 5 to 70 degrees two-theta:
h k l	Position (°2θ)	I/Imax
0 0 3	30.6	100
1 1 1	35.5	34
1 -2 3	35.6	17
0 3 -2	51.1	12
3 0 -1	51.2	24
1 1 4	60.7	11
3 0 2	60.8	14
3 -3 4	60.9	18